# 1
BaLi2Hg6: theoretical X-ray powder pattern (Cu Ka), based on the PBE geometry in Alexandria.

```
BaLi2Hg6
1.0
0.000 6.423 6.423
6.423 0.000 6.423
6.423 6.423 0.000
Ba Li Hg
2 4 12
Direct
0.125 0.125 0.125 Ba
0.875 0.875 0.875 Ba
0.000 0.500 0.500 Li
0.500 0.000 0.500 Li
0.500 0.500 0.000 Li
0.500 0.500 0.500 Li
0.146 0.146 0.604 Hg
0.146 0.604 0.146 Hg
0.146 0.604 0.604 Hg
0.396 0.396 0.854 Hg
0.396 0.854 0.396 Hg
0.396 0.854 0.854 Hg
0.604 0.146 0.146 Hg
0.604 0.146 0.604 Hg
0.604 0.604 0.146 Hg
0.854 0.396 0.396 Hg
0.854 0.396 0.854 Hg
0.854 0.854 0.396 Hg
```

Principal peaks in the range 10° ≤ 2θ ≤ 90°, in order of rising 2θ:
| d [Å] | 2θ/deg | I/Imax |
| --- | --- | --- |
| 4.542 | 19.55 | 16 |
| 3.212 | 27.78 | 100 |
| 2.947 | 30.33 | 15 |
| 2.622 | 34.19 | 13 |
| 2.271 | 39.69 | 74 |
| 1.854 | 49.14 | 24 |
| 1.672 | 54.90 | 13 |
| 1.436 | 64.93 | 26 |
| 1.311 | 72.03 | 18 |
| 1.242 | 76.74 | 11 |

# 2
Y3Ho7Sc: theoretical X-ray powder pattern (Cu Ka), based on the PBE geometry in Alexandria.

```
Y3Ho7Sc
1.0
6.962 0.000 0.000
-3.481 6.029 0.000
0.000 0.000 8.531
Y Ho Sc
3 7 1
Direct
0.002 0.501 0.000 Y
0.499 0.501 0.000 Y
0.499 0.998 0.000 Y
0.168 0.337 0.659 Ho
0.168 0.832 0.659 Ho
0.336 0.168 0.333 Ho
0.663 0.832 0.659 Ho
0.667 0.333 0.659 Ho
0.832 0.168 0.333 Ho
0.832 0.664 0.333 Ho
0.333 0.667 0.336 Sc
```

Principal peaks in the range 10° ≤ 2θ ≤ 90°, in order of rising 2θ:
| d [Å] | 2θ/deg | I/Imax |
| --- | --- | --- |
| 8.531 | 10.37 | 18 |
| 4.924 | 18.02 | 7 |
| 3.482 | 25.58 | 6 |
| 2.843 | 31.47 | 100 |
| 2.462 | 36.50 | 52 |
| 1.741 | 52.57 | 35 |
| 1.485 | 62.57 | 41 |
| 1.421 | 65.69 | 12 |
| 1.130 | 86.08 | 18 |
| 1.101 | 88.89 | 16 |

# 3
Rb3Na2Tl4: theoretical X-ray powder pattern (Cu Ka), based on the PBE geometry in Alexandria.

```
Rb3Na2Tl4
1.0
5.665 0.000 0.000
2.756 6.883 0.000
0.092 3.369 10.161
Rb Na Tl
3 2 4
Direct
0.000 0.000 0.000 Rb
0.383 0.239 0.631 Rb
0.617 0.761 0.369 Rb
0.309 0.367 0.234 Na
0.691 0.633 0.766 Na
0.102 0.823 0.628 Tl
0.258 0.490 0.915 Tl
0.742 0.510 0.085 Tl
0.898 0.177 0.372 Tl
```

Principal peaks in the range 10° ≤ 2θ ≤ 90°, in order of rising 2θ:
| d [Å] | 2θ/deg | I/Imax |
| --- | --- | --- |
| 6.507 | 13.61 | 100 |
| 4.881 | 18.18 | 72 |
| 3.263 | 27.33 | 55 |
| 3.253 | 27.42 | 73 |
| 2.859 | 31.29 | 36 |
| 2.833 | 31.58 | 65 |
| 2.705 | 33.12 | 31 |
| 2.671 | 33.55 | 30 |
| 2.590 | 34.63 | 34 |
| 1.994 | 45.49 | 23 |

# 4
Rb3NpAg2Br8: theoretical X-ray powder pattern (Cu Ka), based on the PBE geometry in Alexandria.

```
Rb3NpAg2Br8
1.0
7.930 0.000 0.000
-3.965 6.868 0.000
0.000 0.000 10.309
Rb Np Ag Br
3 1 2 8
Direct
0.000 0.000 0.000 Rb
0.333 0.667 0.614 Rb
0.667 0.333 0.386 Rb
0.000 0.000 0.500 Np
0.333 0.667 0.174 Ag
0.667 0.333 0.826 Ag
0.167 0.334 0.333 Br
0.167 0.833 0.333 Br
0.333 0.667 0.930 Br
0.334 0.167 0.667 Br
0.666 0.833 0.333 Br
0.667 0.333 0.070 Br
0.833 0.167 0.667 Br
0.833 0.666 0.667 Br
```

Principal peaks in the range 10° ≤ 2θ ≤ 90°, in order of rising 2θ:
| d [Å] | 2θ/deg | I/Imax |
| --- | --- | --- |
| 5.715 | 15.50 | 71 |
| 4.122 | 21.56 | 34 |
| 3.965 | 22.42 | 100 |
| 3.258 | 27.38 | 32 |
| 3.143 | 28.40 | 34 |
| 2.858 | 31.30 | 87 |
| 2.597 | 34.54 | 22 |
| 2.289 | 39.36 | 23 |
| 2.061 | 43.93 | 50 |
| 1.983 | 45.77 | 54 |

# 5
Ho3CuSiS7: theoretical X-ray powder pattern (Cu Ka), based on the PBE geometry in Alexandria.

```
Ho3CuSiS7
1.0
9.851 0.000 0.000
-4.925 8.531 0.000
0.000 0.000 5.705
Ho Cu Si S
6 2 2 14
Direct
0.130 0.357 0.000 Ho
0.227 0.870 0.000 Ho
0.357 0.227 0.500 Ho
0.643 0.773 0.000 Ho
0.773 0.130 0.500 Ho
0.870 0.643 0.500 Ho
0.000 0.000 0.450 Cu
0.000 0.000 0.950 Cu
0.333 0.667 0.589 Si
0.667 0.333 0.089 Si
0.096 0.259 0.469 S
0.105 0.583 0.739 S
0.163 0.904 0.469 S
0.259 0.163 0.969 S
0.333 0.667 0.218 S
0.417 0.523 0.739 S
0.477 0.895 0.739 S
0.523 0.105 0.239 S
0.583 0.477 0.239 S
0.667 0.333 0.718 S
0.741 0.837 0.469 S
0.837 0.096 0.969 S
0.895 0.417 0.239 S
0.904 0.741 0.969 S
```

Principal peaks in the range 10° ≤ 2θ ≤ 90°, in order of rising 2θ:
| d [Å] | 2θ/deg | I/Imax |
| --- | --- | --- |
| 4.742 | 18.71 | 32 |
| 3.728 | 23.87 | 34 |
| 3.416 | 26.08 | 100 |
| 3.224 | 27.67 | 36 |
| 2.852 | 31.36 | 28 |
| 2.464 | 36.47 | 52 |
| 2.368 | 38.00 | 62 |
| 2.186 | 41.31 | 41 |
| 2.136 | 42.31 | 48 |
| 1.864 | 48.87 | 28 |

# 6
TaTlO12: theoretical X-ray powder pattern (Cu Ka), based on the PBE geometry in Alexandria.

```
TaTlO12
1.0
0.000 5.476 5.476
5.476 0.000 5.476
5.476 5.476 0.000
Ta Tl O
2 2 24
Direct
0.125 0.125 0.125 Ta
0.875 0.875 0.875 Ta
0.375 0.375 0.375 Tl
0.625 0.625 0.625 Tl
0.148 0.148 0.386 O
0.148 0.148 0.818 O
0.148 0.386 0.148 O
0.148 0.386 0.818 O
0.148 0.818 0.148 O
0.148 0.818 0.386 O
0.182 0.614 0.852 O
0.182 0.852 0.614 O
0.182 0.852 0.852 O
0.386 0.148 0.148 O
0.386 0.148 0.818 O
0.386 0.818 0.148 O
0.614 0.182 0.852 O
0.614 0.852 0.182 O
0.614 0.852 0.852 O
0.818 0.148 0.148 O
0.818 0.148 0.386 O
0.818 0.386 0.148 O
0.852 0.182 0.614 O
0.852 0.182 0.852 O
0.852 0.614 0.182 O
0.852 0.614 0.852 O
0.852 0.852 0.182 O
0.852 0.852 0.614 O
```

Principal peaks in the range 10° ≤ 2θ ≤ 90°, in order of rising 2θ:
| d [Å] | 2θ/deg | I/Imax |
| --- | --- | --- |
| 3.872 | 22.97 | 100 |
| 2.738 | 32.71 | 16 |
| 2.235 | 40.35 | 62 |
| 1.936 | 46.93 | 14 |
| 1.732 | 52.87 | 27 |
| 1.581 | 58.38 | 10 |
| 1.463 | 63.58 | 25 |
| 1.291 | 73.36 | 15 |
| 1.224 | 78.05 | 7 |
| 1.167 | 82.66 | 6 |